Li7Ho3Mo8O32: simulated X-ray powder pattern (Cu Kα), based on a PBE+U-relaxed structure.
Peak positions follow from Bragg's law for the DFT cell and can differ from measured ones.

Peak list (10 most intense, 2θ = 5–70°, low angle first)
- 2θ 9.0, d = 9.859 Å, rel. 1000, (0 0 1)
- 2θ 23.1, d = 3.855 Å, rel. 144, (-1 1 2)
- 2θ 25.0, d = 3.559 Å, rel. 414, (0 2 -1)
- 2θ 28.3, d = 3.158 Å, rel. 443, (1 3 2)
- 2θ 28.5, d = 3.129 Å, rel. 508, (2 0 1)
- 2θ 29.6, d = 3.015 Å, rel. 560, (-1 1 3)
- 2θ 32.0, d = 2.798 Å, rel. 199, (0 2 -2)
- 2θ 33.4, d = 2.685 Å, rel. 138, (2 2 -1)
- 2θ 46.3, d = 1.963 Å, rel. 133, (3 3 3)
- 2θ 47.0, d = 1.932 Å, rel. 135, (-3 1 2)

Atomic structure:
Lattice parameters (Å, degrees): 6.826 9.982 10.774 66.22 83.85 74.96
Space group P1 (No. 1)
Symmetry-distinct sites (fractional):
Li1 0.000 0.000 0.000
Li2 0.059 0.349 0.868
Li3 0.439 0.150 0.132
Li4 0.501 0.499 0.001
Li5 0.560 0.849 0.868
Li6 0.767 0.455 0.434
Li7 0.936 0.645 0.138
Ho1 0.231 0.543 0.556
Ho2 0.272 0.955 0.438
Ho3 0.727 0.048 0.558
Mo1 0.116 0.730 0.798
Mo2 0.155 0.144 0.677
Mo3 0.346 0.356 0.320
Mo4 0.386 0.766 0.202
Mo5 0.615 0.231 0.798
Mo6 0.659 0.642 0.677
Mo7 0.842 0.858 0.321
Mo8 0.886 0.269 0.202
O1 0.055 0.260 0.068
O2 0.055 0.901 0.637
O3 0.088 0.793 0.412
O4 0.117 0.563 0.768
O5 0.136 0.802 0.141
O6 0.159 0.415 0.432
O7 0.180 0.990 0.837
O8 0.201 0.300 0.705
O9 0.295 0.198 0.294
O10 0.318 0.510 0.160
O11 0.354 0.077 0.570
O12 0.363 0.699 0.859
O13 0.386 0.933 0.235
O14 0.411 0.706 0.587
O15 0.437 0.598 0.360
O16 0.445 0.235 0.933
O17 0.549 0.405 0.645
O18 0.558 0.760 0.068
O19 0.589 0.288 0.408
O20 0.613 0.065 0.764
O21 0.637 0.301 0.140
O22 0.643 0.922 0.430
O23 0.685 0.491 0.838
O24 0.701 0.800 0.704
O25 0.794 0.705 0.296
O26 0.817 0.010 0.161
O27 0.860 0.586 0.573
O28 0.864 0.199 0.859
O29 0.892 0.434 0.226
O30 0.914 0.199 0.593
O31 0.945 0.736 0.932
O32 0.946 0.093 0.365

***

Li4V3OF11: simulated X-ray powder pattern (Cu Kα), based on a PBE+U-relaxed structure.
Peak positions follow from Bragg's law for the DFT cell and can differ from measured ones.

Peak list (10 most intense, 2θ = 5–70°, low angle first)
- 2θ 16.7, d = 5.318 Å, rel. 1000, (0 0 3)
- 2θ 24.7, d = 3.604 Å, rel. 723, (1 1 -1)
- 2θ 25.2, d = 3.529 Å, rel. 693, (1 -1 1)
- 2θ 32.8, d = 2.729 Å, rel. 181, (0 2 1)
- 2θ 37.9, d = 2.372 Å, rel. 204, (1 0 6)
- 2θ 38.7, d = 2.329 Å, rel. 142, (2 1 2)
- 2θ 39.3, d = 2.290 Å, rel. 134, (-2 1 2)
- 2θ 48.7, d = 1.870 Å, rel. 132, (-2 2 1)
- 2θ 49.0, d = 1.858 Å, rel. 130, (1 1 8)
- 2θ 49.3, d = 1.849 Å, rel. 145, (-1 1 8)

Atomic structure:
Lattice parameters (Å, degrees): 5.253 5.460 16.181 80.41 89.87 88.64
Space group P1 (No. 1)
Symmetry-distinct sites (fractional):
Li1 0.000 0.000 0.000
Li2 0.021 0.662 0.651
Li3 0.054 0.537 0.119
Li4 0.357 0.154 0.372
Li5 0.494 0.743 0.764
Li6 0.518 0.104 0.107
Li7 0.567 0.190 0.647
Li8 0.835 0.602 0.396
V1 0.017 0.979 0.216
V2 0.028 0.618 0.883
V3 0.046 0.258 0.551
V4 0.514 0.796 0.548
V5 0.527 0.129 0.879
V6 0.548 0.458 0.214
O1 0.220 0.952 0.586
O2 0.837 0.282 0.180
F1 0.116 0.332 0.432
F2 0.152 0.634 0.770
F3 0.169 0.988 0.099
F4 0.191 0.285 0.915
F5 0.210 0.641 0.228
F6 0.345 0.137 0.250
F7 0.347 0.458 0.589
F8 0.350 0.809 0.904
F9 0.399 0.453 0.101
F10 0.441 0.121 0.765
F11 0.445 0.832 0.431
F12 0.611 0.429 0.334
F13 0.652 0.110 0.992
F14 0.671 0.774 0.665
F15 0.693 0.459 0.850
F16 0.701 0.121 0.529
F17 0.717 0.795 0.171
F18 0.843 0.608 0.521
F19 0.851 0.942 0.854
F20 0.905 0.302 0.661
F21 0.936 0.902 0.332
F22 0.943 0.640 0.997

***

Q: What is the formula in the second record?
A: Li4V3OF11